For K3Ir2O6, a PBE-relaxed structure gives the calculated powder diffractogram in this record (copper Kα).
Neutral-atom scattering factors, no anomalous dispersion.

Cell and atoms:
Cell lengths 10.7396, 10.7396, 10.5441 Å; angles 90.00, 90.00, 120.00 degrees
Space group R-3 (No. 148, hexagonal axes)
Asymmetric unit:
1 K 0.0241 0.3952 0.3423
2 Ir 0.0000 0.0000 0.0000
3 Ir 0.0000 0.0000 0.2506
4 Ir 0.0000 0.0000 0.5000
5 O 0.0218 0.1523 0.3760
6 O 0.0292 0.1543 0.8746

Main lines, in order of rising 2θ (2θ from 10° to 80°):
d_spacing	2theta	I_rel	index
5.370	16.51	1000	1 1 0
3.100	28.80	392	3 0 0
2.685	33.37	129	2 2 0
2.536	35.39	115	1 0 4
2.293	39.29	103	0 2 4
2.109	42.88	236	2 1 4
2.030	44.65	145	1 4 0
1.844	49.44	176	4 -3 4
1.658	55.40	100	5 -2 4
1.462	63.63	84	2 4 4

---

For KPIrO, a PBE-relaxed structure gives the calculated powder diffractogram in this record (copper Kα).
Neutral-atom scattering factors, no anomalous dispersion.

Cell and atoms:
Cell lengths 3.792, 6.050, 7.283 Å; angles 90.00, 90.00, 90.00 degrees
Space group Pmc2_1 (No. 26)
Asymmetric unit:
1 K 0.000 0.164 0.000
2 P 0.500 0.388 0.685
3 Ir 0.500 0.334 0.383
4 O 0.000 0.239 0.356

Main lines, in order of rising 2θ (2θ from 10° to 80°):
d_spacing	2theta	I_rel	index
6.050	14.64	405	0 1 0
4.654	19.07	1000	0 1 1
3.792	23.46	367	1 0 0
3.641	24.45	441	0 0 2
3.213	27.77	383	1 1 0
2.940	30.41	882	1 1 1
2.794	32.04	457	0 2 1
2.251	40.05	590	0 1 3
1.895	48.02	278	2 0 0
1.694	54.15	277	1 2 3

---

For KP2IrO7, a PBE-relaxed structure gives the calculated powder diffractogram in this record (copper Kα).
Neutral-atom scattering factors, no anomalous dispersion.

Cell and atoms:
Cell lengths 7.217, 8.193, 5.065 Å; angles 90.00, 90.34, 90.00 degrees
Space group C2 (No. 5)
Asymmetric unit:
1 K 0.000 0.000 0.000
2 P 0.195 0.304 0.415
3 Ir 0.000 0.635 0.500
4 O 0.000 0.221 0.500
5 O 0.155 0.468 0.285
6 O 0.175 0.810 0.340
7 O 0.218 0.677 0.773

Main lines, in order of rising 2θ (2θ from 10° to 80°):
d_spacing	2theta	I_rel	index
5.416	16.37	955	1 1 0
5.065	17.51	1000	0 0 1
4.097	21.69	245	0 2 0
3.707	24.00	766	1 1 -1
3.691	24.11	606	1 1 1
3.185	28.01	388	0 2 1
2.708	33.08	355	2 2 0
2.554	35.13	277	1 3 0
2.392	37.60	400	2 2 -1
2.281	39.50	263	1 3 -1

---

For KIrSeO, a PBE-relaxed structure gives the calculated powder diffractogram in this record (copper Kα).
Neutral-atom scattering factors, no anomalous dispersion.

Cell and atoms:
Cell lengths 5.810, 8.992, 6.628 Å; angles 90.00, 90.84, 90.00 degrees
Space group P2_1/c (No. 14)
Asymmetric unit:
1 K 0.231 0.151 0.475
2 Ir 0.274 0.748 0.763
3 Se 0.274 0.547 0.509
4 O 0.267 0.634 0.015

Main lines, in order of rising 2θ (2θ from 10° to 80°):
d_spacing	2theta	I_rel	index
4.880	18.18	1000	1 1 0
4.496	19.75	216	0 2 0
2.905	30.78	385	2 0 0
2.758	32.46	272	1 1 -2
2.727	32.84	272	1 1 2
2.667	33.61	452	0 2 2
2.083	43.44	193	1 3 -2
2.069	43.75	169	1 3 2
1.976	45.92	148	2 2 -2
1.718	53.33	141	1 5 0

---

For KIrSe2O8, a PBE-relaxed structure gives the calculated powder diffractogram in this record (copper Kα).
Neutral-atom scattering factors, no anomalous dispersion.

Cell and atoms:
Cell lengths 4.8501, 4.8501, 22.8061 Å; angles 90.00, 90.00, 120.00 degrees
Space group R-3 (No. 148, hexagonal axes)
Asymmetric unit:
1 K 0.0000 0.0000 0.0000
2 Ir 0.0000 0.0000 0.5000
3 Se 0.0000 0.0000 0.2435
4 O 0.0000 0.0000 0.3153
5 O 0.0001 0.3380 0.2207

Main lines, in order of rising 2θ (2θ from 10° to 80°):
d_spacing	2theta	I_rel	index
7.602	11.64	510	0 0 3
4.131	21.51	260	1 0 1
3.382	26.35	1000	1 0 4
3.090	28.90	115	0 1 5
2.425	37.07	381	1 1 0
2.359	38.15	307	0 1 8
1.971	46.06	221	0 2 4
1.529	60.54	192	3 -1 4
1.496	62.04	195	1 1 12
1.387	67.53	118	3 -2 8

---

For K2Sm2IrO7, a PBE-relaxed structure gives the calculated powder diffractogram in this record (copper Kα).
Neutral-atom scattering factors, no anomalous dispersion.

Cell and atoms:
Cell lengths 5.6471, 5.6471, 37.5961 Å; angles 90.00, 90.00, 120.00 degrees
Space group R-3c (No. 167, hexagonal axes)
Asymmetric unit:
1 K 0.0000 0.0000 0.0868
2 Sm 0.0000 0.0000 0.1907
3 Ir 0.0000 0.0000 0.0000
4 O 0.0000 0.0000 0.2500
5 O 0.0090 0.4199 0.1942

Main lines, in order of rising 2θ (2θ from 10° to 80°):
d_spacing	2theta	I_rel	index
6.266	14.13	810	0 0 6
4.338	20.47	324	1 0 4
2.981	29.98	804	1 0 10
2.824	31.69	1000	1 1 0
2.574	34.85	340	1 1 6
2.118	42.69	249	1 0 16
2.050	44.18	383	0 2 10
1.694	54.13	168	0 2 16
1.659	55.39	302	2 1 10
1.630	56.45	241	3 0 0

---

For K2ZnIrO6, a PBE-relaxed structure gives the calculated powder diffractogram in this record (copper Kα).
Neutral-atom scattering factors, no anomalous dispersion.

Cell and atoms:
Cell lengths 7.928, 7.928, 7.928 Å; angles 90.00, 90.00, 90.00 degrees
Space group Fm-3m (No. 225)
Asymmetric unit:
1 K 0.250 0.250 0.250
2 Zn 0.000 0.000 0.000
3 Ir 0.000 0.000 0.500
4 O 0.000 0.000 0.262

Main lines, in order of rising 2θ (2θ from 10° to 80°):
d_spacing	2theta	I_rel	index
4.577	19.39	365	1 1 1
3.964	22.43	569	2 0 0
2.803	31.93	1000	2 2 0
2.390	37.63	178	3 1 1
1.982	45.78	353	4 0 0
1.773	51.55	247	4 2 0
1.618	56.90	381	4 2 2
1.401	66.74	205	4 4 0
1.321	71.39	115	6 0 0
1.254	75.90	165	6 2 0

---

For K2P2IrOs, a PBE-relaxed structure gives the calculated powder diffractogram in this record (copper Kα).
Neutral-atom scattering factors, no anomalous dispersion.

Cell and atoms:
Cell lengths 4.025, 4.025, 9.996 Å; angles 90.00, 90.00, 90.00 degrees
Space group P-4m2 (No. 115)
Asymmetric unit:
1 K 0.000 0.500 0.200
2 P 0.000 0.500 0.623
3 Ir 0.500 0.500 0.500
4 Os 0.000 0.000 0.500

Main lines, in order of rising 2θ (2θ from 10° to 80°):
d_spacing	2theta	I_rel	index
4.998	17.75	708	0 0 2
3.332	26.76	455	0 0 3
2.737	32.71	867	1 1 1
2.473	36.32	1000	1 1 2
2.164	41.74	441	1 1 3
2.013	45.04	373	2 0 0
1.973	46.00	417	2 0 1
1.878	48.48	387	1 1 4
1.723	53.17	276	2 0 3
1.636	56.23	361	1 1 5